NaV13O18: theoretical X-ray powder pattern (Cu Kα (λ = 1.5418 Å)), based on a GGA+U-relaxed structure.
Kinematic intensities with the Lorentz-polarization factor, no thermal factor.

Most intense lines, 2θ from 10° to 90°, most intense first:
(-2 1 3), 2θ = 41.85°, rel. 100.0; (2 2 -1), 2θ = 42.04°, rel. 98.2; (2 -3 2), 2θ = 42.60°, rel. 90.2; (-3 1 1), 2θ = 36.30°, rel. 84.1; (0 0 1), 2θ = 13.36°, rel. 66.3; (1 0 0), 2θ = 14.20°, rel. 54.2; (0 2 -5), 2θ = 61.32°, rel. 50.3; (0 1 -1), 2θ = 13.47°, rel. 31.4; (2 4 -6), 2θ = 77.12°, rel. 30.4; (0 3 2), 2θ = 60.74°, rel. 27.6

Cell and atoms:
```
data_NaV13O18
_symmetry_space_group_name_H-M 'P 1'
_symmetry_Int_Tables_number 1
_cell_length_a 7.4196
_cell_length_b 7.9898
_cell_length_c 8.0295
_cell_angle_alpha 110.28
_cell_angle_beta 108.73
_cell_angle_gamma 107.59
loop_
_symmetry_equiv_pos_as_xyz
'x,y,z'
loop_
_atom_site_label
_atom_site_fract_x
_atom_site_fract_y
_atom_site_fract_z
Na1 0.0000 0.0000 0.0000
V1 0.0163 0.2053 0.6857
V2 0.1200 0.5849 0.6114
V3 0.2207 0.9364 0.5543
V4 0.2893 0.6421 0.0430
V5 0.3092 0.3066 0.4898
V6 0.4010 0.0116 0.9842
V7 0.4742 0.6990 0.4843
V8 0.4810 0.3601 0.9273
V9 0.5462 0.0612 0.4110
V10 0.6467 0.4362 0.3574
V11 0.7654 0.8083 0.2778
V12 0.8106 0.4997 0.7884
V13 0.9701 0.5001 0.1884
O1 0.0062 0.4021 0.9389
O2 0.0595 0.0699 0.4329
O3 0.1152 0.7381 0.8816
O4 0.1706 0.4395 0.3680
O5 0.2017 0.0945 0.8141
O6 0.2772 0.7834 0.3149
O7 0.2812 0.4560 0.7666
O8 0.3802 0.1690 0.2586
O9 0.3968 0.8445 0.7083
O10 0.4863 0.5544 0.2021
O11 0.4943 0.2113 0.6484
O12 0.5484 0.9072 0.1517
O13 0.6067 0.5548 0.6110
O14 0.6666 0.2791 0.1073
O15 0.7300 0.9595 0.5415
O16 0.7761 0.5984 0.0314
O17 0.8311 0.3349 0.5426
O18 0.9420 0.6764 0.4249
```